# 1
Starting from a DFT-relaxed cell (PBE+U, the Materials Project), the powder X-ray diffraction pattern of LiMnF3 was computed for Cu Ka.
No peak broadening, texture or thermal motion is included.

Structural model:
```
10
Lattice="5.2025 0.0000 0.0000 -2.6012 4.5055 0.0000 0.0000 0.0000 4.8611" Properties=species:S:1:pos:R:3 pbc="T T T"
Li 0.0000 0.0000 1.2153
Li 0.0000 0.0000 3.6458
Mn 0.0000 3.0036 1.2153
Mn 2.6012 1.5018 3.6458
F -0.8092 1.4016 0.0000
F -1.7920 3.1038 2.4305
F 1.6185 0.0000 0.0000
F 0.8092 1.4016 2.4305
F 3.5840 0.0000 2.4305
F 1.7920 3.1038 0.0000
```

The 10 most intense peaks (10° ≤ 2θ ≤ 90°), low angle first:
19.70°, I = 14
26.98°, I = 100
34.48°, I = 11
39.28°, I = 36
42.25°, I = 9
44.32°, I = 24
51.46°, I = 49
57.33°, I = 22
61.77°, I = 21
84.48°, I = 9

=====

# 2
Starting from a DFT-relaxed cell (PBE+U, the Materials Project), the powder X-ray diffraction pattern of LiMnF3 was computed for Cu Ka.
No peak broadening, texture or thermal motion is included.

Structural model:
```
10
Lattice="2.6989 1.5582 4.9268 -2.6989 1.5582 4.9268 0.0000 -3.1164 4.9268" Properties=species:S:1:pos:R:3 pbc="T T T"
Li 0.0000 0.0000 3.6951
Li 0.0000 0.0000 11.0854
Mn 0.0000 0.0000 0.0000
Mn 0.0000 0.0000 7.3902
F -1.7610 0.0662 6.1585
F -0.9378 -1.4920 8.6219
F 0.8232 -1.5582 6.1585
F -0.8232 1.5582 8.6219
F 0.9378 1.4920 6.1585
F 1.7610 -0.0662 8.6219
```

The 10 most intense peaks (10° ≤ 2θ ≤ 90°), low angle first:
22.51°, I = 100
30.85°, I = 51
38.02°, I = 42
40.48°, I = 14
45.94°, I = 21
50.14°, I = 43
53.31°, I = 24
57.85°, I = 17
59.31°, I = 26
74.27°, I = 14

=====

# 3
Starting from a DFT-relaxed cell (PBE+U, the Materials Project), the powder X-ray diffraction pattern of Li2Mn3F10 was computed for Cu Ka.
No peak broadening, texture or thermal motion is included.

Structural model:
```
30
Lattice="9.2845 -3.0556 0.0000 9.2845 3.0556 0.0000 -2.6683 0.0000 7.4599" Properties=species:S:1:pos:R:3 pbc="T T T"
Li 0.0298 0.0000 3.3005
Li 2.6245 0.0000 3.8099
Li 13.2762 0.0000 3.6499
Li 15.8709 0.0000 4.1593
Mn 9.2845 1.5175 0.0000
Mn 3.2328 0.0000 7.3860
Mn 6.3250 0.0000 3.8261
Mn 9.5757 0.0000 3.6338
Mn 12.6680 0.0000 0.0739
Mn 9.2845 -1.5175 0.0000
F 4.6423 1.5278 0.0000
F -0.1159 0.0000 1.3281
F 5.1823 1.6795 3.9707
F 4.7628 1.4398 7.3489
F 7.9504 1.4752 3.7299
F 3.2319 0.0000 5.5347
F 6.0473 0.0000 1.7781
F 11.1379 1.4398 0.1110
F 10.7184 1.6795 3.4891
F 6.6675 0.0000 6.0589
F 4.6423 -1.5278 0.0000
F 9.2332 0.0000 1.4009
F 5.1823 -1.6795 3.9707
F 4.7628 -1.4398 7.3489
F 9.8535 0.0000 5.6818
F 12.6688 0.0000 1.9252
F 7.9504 -1.4752 3.7299
F 11.1379 -1.4398 0.1110
F 10.7184 -1.6795 3.4891
F 16.0166 0.0000 6.1318
```

The 10 most intense peaks (10° ≤ 2θ ≤ 90°), low angle first:
10.12°, I = 55
11.86°, I = 39
15.36°, I = 76
19.78°, I = 34
21.06°, I = 32
21.53°, I = 37
23.86°, I = 100
28.32°, I = 40
41.58°, I = 46
48.83°, I = 22

=====

# 4
Starting from a DFT-relaxed cell (PBE+U, the Materials Project), the powder X-ray diffraction pattern of LiMnF5 was computed for Cu Ka.
No peak broadening, texture or thermal motion is included.

Structural model:
```
28
Lattice="7.6147 0.0000 0.0000 0.0000 7.0981 0.0000 0.0000 0.0000 6.8645" Properties=species:S:1:pos:R:3 pbc="T T T"
Li 0.1295 1.7745 1.7069
Li 3.6778 5.3236 5.1391
Li 3.9369 1.7745 1.7253
Li 7.4852 5.3236 5.1576
Mn 0.9100 5.3236 1.7369
Mn 2.8973 1.7745 5.1692
Mn 4.7174 5.3236 1.6953
Mn 6.7047 1.7745 5.1275
F 0.8796 5.3236 6.7825
F 0.9324 0.0433 1.7425
F 0.9324 3.5058 1.7425
F 0.9512 5.3236 3.5586
F 0.9833 1.7745 5.0903
F 2.8240 5.3236 1.6581
F 2.8561 1.7745 0.1264
F 2.8750 3.5923 5.1748
F 2.8750 7.0549 5.1748
F 2.9277 1.7745 3.3503
F 4.6870 5.3236 3.5142
F 4.7397 0.0433 1.6897
F 4.7397 3.5058 1.6897
F 4.7586 5.3236 6.7381
F 4.7907 1.7745 5.2064
F 6.6314 5.3236 1.7742
F 6.6635 1.7745 3.3058
F 6.6823 3.5923 5.1219
F 6.6823 7.0549 5.1219
F 6.7351 1.7745 0.0819
```

The 10 most intense peaks (10° ≤ 2θ ≤ 90°), low angle first:
17.98°, I = 100
25.09°, I = 34
25.96°, I = 31
26.57°, I = 47
26.78°, I = 46
40.32°, I = 14
41.46°, I = 16
46.29°, I = 13
47.78°, I = 16
51.48°, I = 28

=====

# 5
Starting from a DFT-relaxed cell (PBE+U, the Materials Project), the powder X-ray diffraction pattern of LiMn2F7 was computed for Cu Ka.
No peak broadening, texture or thermal motion is included.

Structural model:
```
20
Lattice="5.6134 0.0000 0.0000 0.4157 6.7299 0.0000 1.6089 2.7210 7.7773" Properties=species:S:1:pos:R:3 pbc="T T T"
Li 1.1240 0.8008 1.9103
Li 6.5140 8.6501 5.8670
Mn 1.8857 4.1082 2.5528
Mn 3.0086 4.1234 6.3657
Mn 4.6293 5.3275 1.4116
Mn 5.7523 5.3427 5.2245
F 0.8440 4.3048 1.0114
F 1.2663 2.4231 2.8985
F 2.2246 2.4727 6.3933
F 2.2335 4.3145 4.4951
F 2.5722 5.8803 2.3577
F 2.0022 1.2944 0.3094
F 3.9111 5.7734 6.0395
F 3.7268 3.6775 1.7379
F 5.6357 8.1565 7.4679
F 5.0658 3.5706 5.4197
F 5.4044 5.1364 3.2822
F 5.4134 6.9782 1.3840
F 6.3716 7.0278 4.8789
F 6.7940 5.1461 6.7660
```

The 10 most intense peaks (10° ≤ 2θ ≤ 90°), low angle first:
13.94°, I = 92
14.81°, I = 100
21.35°, I = 65
22.52°, I = 35
22.87°, I = 38
25.52°, I = 32
32.50°, I = 26
37.78°, I = 51
42.84°, I = 34
46.63°, I = 31

=====

# 6
Starting from a DFT-relaxed cell (PBE+U, the Materials Project), the powder X-ray diffraction pattern of Li5MnF8 was computed for Cu Ka.
No peak broadening, texture or thermal motion is included.

Structural model:
```
14
Lattice="2.8562 -4.4308 0.0000 2.8562 4.4308 0.0000 0.0000 0.0000 5.8213" Properties=species:S:1:pos:R:3 pbc="T T T"
Li 0.0000 0.0000 0.0000
Li 1.4281 2.2154 1.3712
Li 1.4281 2.2154 4.4501
Li 1.4281 -2.2154 1.3712
Li 1.4281 -2.2154 4.4501
Mn 0.0000 0.0000 2.9106
F 1.2939 0.0000 1.5356
F 1.2939 0.0000 4.2857
F 2.8562 2.4193 0.0000
F 2.8562 2.3335 2.9106
F 2.8562 -2.3335 2.9106
F 2.8562 -2.4193 0.0000
F 4.4184 0.0000 1.5356
F 4.4184 0.0000 4.2857
```

The 10 most intense peaks (10° ≤ 2θ ≤ 90°), low angle first:
15.22°, I = 35
18.48°, I = 100
24.03°, I = 37
25.26°, I = 23
36.09°, I = 17
36.95°, I = 12
37.60°, I = 15
40.72°, I = 52
44.44°, I = 71
61.85°, I = 40